Entry 1:
Theoretical powder diffractogram
Compound: Dy3Ho3Sb2Os
Radiation: Cu Kα X-rays
Structure: a crystal structure in OQMD, relaxed with GGA-PBE
No peak broadening, texture or thermal motion is included.

Top 12 peaks for 10 to 90 degrees two-theta, in order of rising 2θ:
12.5 deg, I 21, hkl 1 0 0; 30.5 deg, I 100, hkl 1 1 1; 33.1 deg, I 88, hkl 2 0 1; 33.5 deg, I 55, hkl 2 1 0; 38.1 deg, I 41, hkl 3 0 0; 39.9 deg, I 51, hkl 2 1 1; 43.0 deg, I 28, hkl 0 0 2; 51.3 deg, I 15, hkl 3 1 1; 55.6 deg, I 26, hkl 2 1 2; 58.8 deg, I 23, hkl 3 0 2; 59.9 deg, I 10, hkl 4 1 0; 61.2 deg, I 35, hkl 3 2 1

```
data_Dy3Ho3Sb2Os
_symmetry_space_group_name_H-M 'P -6 2 m'
_symmetry_Int_Tables_number 189
_symmetry_space_group_name_Hall 'P -6 -2'
_cell_length_a 8.1767
_cell_length_b 8.1767
_cell_length_c 4.2049
_cell_angle_alpha 90.00
_cell_angle_beta 90.00
_cell_angle_gamma 120.00
loop_
_atom_site_label
_atom_site_type_symbol
_atom_site_fract_x
_atom_site_fract_y
_atom_site_fract_z
_atom_site_occupancy
Dy1 Dy 0.0000 0.2377 0.0000 1
Ho1 Ho 0.0000 0.6066 0.5000 1
Sb1 Sb 0.3333 0.6667 0.0000 1
Os1 Os 0.0000 0.0000 0.5000 1
```


Entry 2:
Theoretical powder diffractogram
Compound: Dy2HoP3
Radiation: Cu Kα X-rays
Structure: a crystal structure in OQMD, relaxed with GGA-PBE
No peak broadening, texture or thermal motion is included.

Top 11 peaks for 10 to 90 degrees two-theta, in order of rising 2θ:
27.3 deg, I 88, hkl 0 1 1; 31.6 deg, I 100, hkl 1 0 2; 45.4 deg, I 73, hkl 1 1 0; 53.8 deg, I 43, hkl 2 0 1; 56.4 deg, I 26, hkl 0 2 2; 66.1 deg, I 12, hkl 2 0 4; 72.9 deg, I 9, hkl 0 2 5; 73.0 deg, I 9, hkl 1 2 1; 75.1 deg, I 33, hkl 2 1 2; 83.7 deg, I 6, hkl 1 0 8; 83.8 deg, I 19, hkl 3 0 0

```
data_Dy2HoP3
_symmetry_space_group_name_H-M 'P -3 m 1'
_symmetry_Int_Tables_number 164
_symmetry_space_group_name_Hall '-P 3 2"'
_cell_length_a 3.9966
_cell_length_b 3.9966
_cell_length_c 9.8052
_cell_angle_alpha 90.00
_cell_angle_beta 90.00
_cell_angle_gamma 120.00
loop_
_atom_site_label
_atom_site_type_symbol
_atom_site_fract_x
_atom_site_fract_y
_atom_site_fract_z
_atom_site_occupancy
Dy1 Dy 0.3333 0.6667 0.3331 1
Ho1 Ho 0.0000 0.0000 0.0000 1
P1 P 0.0000 0.0000 0.5000 1
P2 P 0.3333 0.6667 0.8340 1
```


Entry 3:
Theoretical powder diffractogram
Compound: DyHoPb4
Radiation: Cu Kα X-rays
Structure: a crystal structure in OQMD, relaxed with GGA-PBE
No peak broadening, texture or thermal motion is included.

Top 12 peaks for 10 to 90 degrees two-theta, in order of rising 2θ:
32.3 deg, I 100, hkl 1 1 3; 32.5 deg, I 22, hkl 0 0 6; 39.6 deg, I 15, hkl 0 2 0; 40.1 deg, I 15, hkl 2 0 0; 52.1 deg, I 12, hkl 0 2 6; 52.5 deg, I 12, hkl 2 0 6; 57.6 deg, I 10, hkl 2 2 0; 57.9 deg, I 14, hkl 1 1 9; 67.3 deg, I 13, hkl 1 3 3; 67.7 deg, I 11, hkl 2 2 6; 68.0 deg, I 12, hkl 3 1 3; 86.5 deg, I 7, hkl 4 0 0

```
data_DyHoPb4
_symmetry_space_group_name_H-M 'A m m 2'
_symmetry_Int_Tables_number 38
_cell_length_a 4.4998
_cell_length_b 4.5558
_cell_length_c 16.5232
_cell_angle_alpha 90.00
_cell_angle_beta 90.00
_cell_angle_gamma 90.00
loop_
_symmetry_equiv_pos_as_xyz
'x,y,z'
'-x,-y,z'
'-x,y,z'
'x,-y,z'
'x,y+1/2,z+1/2'
'-x,-y+1/2,z+1/2'
'-x,y+1/2,z+1/2'
'x,-y+1/2,z+1/2'
loop_
_atom_site_label
_atom_site_type_symbol
_atom_site_fract_x
_atom_site_fract_y
_atom_site_fract_z
_atom_site_occupancy
Dy1 Dy 0.0000 0.0000 0.0000 1
Ho1 Ho 0.5000 0.0000 0.8105 1
Pb1 Pb 0.0000 0.0000 0.3361 1
Pb2 Pb 0.0000 0.0000 0.6546 1
Pb3 Pb 0.5000 0.0000 0.1563 1
Pb4 Pb 0.5000 0.0000 0.4740 1
```


Entry 4:
Theoretical powder diffractogram
Compound: Dy2HoPd3Pb3
Radiation: Cu Kα X-rays
Structure: a crystal structure in OQMD, relaxed with GGA-PBE
No peak broadening, texture or thermal motion is included.

Top 12 peaks for 10 to 90 degrees two-theta, in order of rising 2θ:
32.5 deg, I 100, hkl 1 3 1; 35.0 deg, I 47, hkl 0 1 3; 35.2 deg, I 59, hkl 1 4 0; 39.9 deg, I 38, hkl 0 3 3; 42.3 deg, I 21, hkl 1 4 2; 47.0 deg, I 19, hkl 2 0 0; 48.4 deg, I 9, hkl 0 5 3; 54.2 deg, I 10, hkl 1 5 3; 59.9 deg, I 20, hkl 2 1 3; 63.3 deg, I 20, hkl 2 6 0; 64.5 deg, I 31, hkl 1 1 5; 83.1 deg, I 10, hkl 1 7 5

```
data_Dy2HoPd3Pb3
_symmetry_space_group_name_H-M 'A m m 2'
_symmetry_Int_Tables_number 38
_cell_length_a 3.8665
_cell_length_b 13.5618
_cell_length_c 7.8367
_cell_angle_alpha 90.00
_cell_angle_beta 90.00
_cell_angle_gamma 90.00
loop_
_symmetry_equiv_pos_as_xyz
'x,y,z'
'-x,-y,z'
'-x,y,z'
'x,-y,z'
'x,y+1/2,z+1/2'
'-x,-y+1/2,z+1/2'
'-x,y+1/2,z+1/2'
'x,-y+1/2,z+1/2'
loop_
_atom_site_label
_atom_site_type_symbol
_atom_site_fract_x
_atom_site_fract_y
_atom_site_fract_z
_atom_site_occupancy
Dy1 Dy 0.0000 0.2007 0.0000 1
Ho1 Ho 0.0000 0.0000 0.3980 1
Pd1 Pd 0.0000 0.0000 0.7989 1
Pd2 Pd 0.5000 0.1664 0.2995 1
Pb1 Pb 0.5000 0.0000 0.0663 1
Pb2 Pb 0.5000 0.1333 0.6658 1
```


Entry 5:
Theoretical powder diffractogram
Compound: DyHoZn2Pb2
Radiation: Cu Kα X-rays
Structure: a crystal structure in OQMD, relaxed with GGA-PBE
No peak broadening, texture or thermal motion is included.

Top 12 peaks for 10 to 90 degrees two-theta, in order of rising 2θ:
23.1 deg, I 10, hkl 1 0 1; 28.0 deg, I 43, hkl 1 0 3; 31.8 deg, I 100, hkl 1 0 4; 39.3 deg, I 72, hkl 1 1 0; 45.8 deg, I 25, hkl 1 0 7; 49.0 deg, I 10, hkl 2 0 3; 51.4 deg, I 26, hkl 2 0 4; 61.6 deg, I 16, hkl 1 1 8; 61.9 deg, I 10, hkl 2 0 7; 66.6 deg, I 24, hkl 2 1 4; 71.3 deg, I 13, hkl 3 0 0; 75.9 deg, I 12, hkl 2 1 7

```
data_DyHoZn2Pb2
_symmetry_space_group_name_H-M 'P 63/m m c'
_symmetry_Int_Tables_number 194
_symmetry_space_group_name_Hall '-P 6c 2c'
_cell_length_a 4.5846
_cell_length_b 4.5846
_cell_length_c 15.9858
_cell_angle_alpha 90.00
_cell_angle_beta 90.00
_cell_angle_gamma 120.00
loop_
_atom_site_label
_atom_site_type_symbol
_atom_site_fract_x
_atom_site_fract_y
_atom_site_fract_z
_atom_site_occupancy
Dy1 Dy 0.0000 0.0000 0.0000 1
Ho1 Ho 0.0000 0.0000 0.2500 1
Zn1 Zn 0.3333 0.6667 0.1655 1
Pb1 Pb 0.3333 0.6667 0.6098 1
```


Entry 6:
Theoretical powder diffractogram
Compound: DyHoSi2Pd
Radiation: Cu Kα X-rays
Structure: a crystal structure in OQMD, relaxed with GGA-PBE
No peak broadening, texture or thermal motion is included.

Top 12 peaks for 10 to 90 degrees two-theta, in order of rising 2θ:
23.0 deg, I 42, hkl 1 1 0; 27.0 deg, I 20, hkl 2 0 -3; 27.4 deg, I 21, hkl 1 1 -2; 33.5 deg, I 100, hkl 1 1 2; 33.9 deg, I 65, hkl 3 1 -2; 34.3 deg, I 57, hkl 4 0 -2; 37.2 deg, I 41, hkl 3 1 -3; 40.4 deg, I 20, hkl 0 0 4; 41.1 deg, I 39, hkl 3 1 1; 42.5 deg, I 41, hkl 0 2 0; 59.0 deg, I 26, hkl 3 1 -6; 72.5 deg, I 22, hkl 1 1 6

```
data_DyHoSi2Pd
_symmetry_space_group_name_H-M 'C 1 2/m 1'
_symmetry_Int_Tables_number 12
_cell_length_a 10.4544
_cell_length_b 4.2515
_cell_length_c 10.0984
_cell_angle_alpha 90.00
_cell_angle_beta 117.96
_cell_angle_gamma 90.00
loop_
_symmetry_equiv_pos_as_xyz
'x,y,z'
'-x,-y,-z'
'-x,y,-z'
'x,-y,z'
'x+1/2,y+1/2,z'
'-x+1/2,-y+1/2,-z'
'-x+1/2,y+1/2,-z'
'x+1/2,-y+1/2,z'
loop_
_atom_site_label
_atom_site_type_symbol
_atom_site_fract_x
_atom_site_fract_y
_atom_site_fract_z
_atom_site_occupancy
Dy1 Dy 0.1863 0.0000 0.1062 1
Ho1 Ho 0.0024 0.0000 0.3239 1
Si1 Si 0.0186 0.5000 0.8861 1
Si2 Si 0.1329 0.5000 0.5651 1
Pd1 Pd 0.2251 0.5000 0.3596 1
```


Entry 7:
Theoretical powder diffractogram
Compound: DyHo2Sn3Pd3
Radiation: Cu Kα X-rays
Structure: a crystal structure in OQMD, relaxed with GGA-PBE
No peak broadening, texture or thermal motion is included.

Top 12 peaks for 10 to 90 degrees two-theta, in order of rising 2θ:
32.9 deg, I 100, hkl 1 0 2; 35.7 deg, I 76, hkl 1 2 2; 36.0 deg, I 42, hkl 0 5 1; 41.0 deg, I 40, hkl 0 6 0; 43.1 deg, I 19, hkl 1 5 1; 46.8 deg, I 22, hkl 2 0 0; 49.8 deg, I 13, hkl 0 2 4; 55.5 deg, I 14, hkl 1 7 1; 60.4 deg, I 19, hkl 2 5 1; 63.9 deg, I 21, hkl 2 3 3; 66.2 deg, I 30, hkl 1 8 2; 76.1 deg, I 10, hkl 1 5 5

```
data_DyHo2Sn3Pd3
_symmetry_space_group_name_H-M 'A m m 2'
_symmetry_Int_Tables_number 38
_cell_length_a 3.8834
_cell_length_b 13.2145
_cell_length_c 7.6213
_cell_angle_alpha 90.00
_cell_angle_beta 90.00
_cell_angle_gamma 90.00
loop_
_symmetry_equiv_pos_as_xyz
'x,y,z'
'-x,-y,z'
'-x,y,z'
'x,-y,z'
'x,y+1/2,z+1/2'
'-x,-y+1/2,z+1/2'
'-x,y+1/2,z+1/2'
'x,-y+1/2,z+1/2'
loop_
_atom_site_label
_atom_site_type_symbol
_atom_site_fract_x
_atom_site_fract_y
_atom_site_fract_z
_atom_site_occupancy
Dy1 Dy 0.0000 0.0000 0.0000 1
Ho1 Ho 0.0000 0.2012 0.3961 1
Sn1 Sn 0.5000 0.0000 0.3346 1
Sn2 Sn 0.5000 0.1314 0.7285 1
Pd1 Pd 0.0000 0.0000 0.5967 1
Pd2 Pd 0.5000 0.1672 0.0976 1
```


Entry 8:
Theoretical powder diffractogram
Compound: Dy3Ho4Te2Pd2
Radiation: Cu Kα X-rays
Structure: a crystal structure in OQMD, relaxed with GGA-PBE
No peak broadening, texture or thermal motion is included.

Top 12 peaks for 10 to 90 degrees two-theta, in order of rising 2θ:
28.4 deg, I 32, hkl 1 3 0; 29.9 deg, I 69, hkl 1 1 2; 32.7 deg, I 60, hkl 0 3 3; 33.5 deg, I 100, hkl 1 4 1; 34.0 deg, I 47, hkl 1 3 2; 34.2 deg, I 14, hkl 0 6 0; 36.1 deg, I 21, hkl 1 0 3; 37.9 deg, I 22, hkl 1 2 3; 39.1 deg, I 16, hkl 0 6 2; 46.1 deg, I 35, hkl 2 0 0; 50.5 deg, I 19, hkl 0 3 5; 57.7 deg, I 31, hkl 2 3 3

```
data_Dy3Ho4Te2Pd2
_symmetry_space_group_name_H-M 'I m m 2'
_symmetry_Int_Tables_number 44
_cell_length_a 3.9372
_cell_length_b 15.7327
_cell_length_c 9.6256
_cell_angle_alpha 90.00
_cell_angle_beta 90.00
_cell_angle_gamma 90.00
loop_
_symmetry_equiv_pos_as_xyz
'x,y,z'
'-x,-y,z'
'-x,y,z'
'x,-y,z'
'x+1/2,y+1/2,z+1/2'
'-x+1/2,-y+1/2,z+1/2'
'-x+1/2,y+1/2,z+1/2'
'x+1/2,-y+1/2,z+1/2'
loop_
_atom_site_label
_atom_site_type_symbol
_atom_site_fract_x
_atom_site_fract_y
_atom_site_fract_z
_atom_site_occupancy
Dy1 Dy 0.0000 0.0000 0.0000 1
Dy2 Dy 0.0000 0.1289 0.5827 1
Ho1 Ho 0.0000 0.3178 0.3760 1
Ho2 Ho 0.0000 0.3555 0.7353 1
Te1 Te 0.0000 0.0000 0.3351 1
Te2 Te 0.0000 0.5000 0.2361 1
Pd1 Pd 0.0000 0.2366 0.0710 1
```


Entry 9:
Theoretical powder diffractogram
Compound: Dy2Ho5Te2Pd2
Radiation: Cu Kα X-rays
Structure: a crystal structure in OQMD, relaxed with GGA-PBE
No peak broadening, texture or thermal motion is included.

Top 12 peaks for 10 to 90 degrees two-theta, in order of rising 2θ:
28.4 deg, I 32, hkl 1 3 0; 29.9 deg, I 68, hkl 1 1 2; 32.8 deg, I 60, hkl 0 3 3; 33.5 deg, I 100, hkl 1 4 1; 34.0 deg, I 47, hkl 1 3 2; 34.2 deg, I 14, hkl 0 6 0; 36.1 deg, I 21, hkl 1 0 3; 38.0 deg, I 22, hkl 1 2 3; 39.2 deg, I 16, hkl 0 6 2; 46.1 deg, I 35, hkl 2 0 0; 57.7 deg, I 31, hkl 2 3 3; 64.6 deg, I 14, hkl 1 6 5

```
data_Dy2Ho5Te2Pd2
_symmetry_space_group_name_H-M 'I m m 2'
_symmetry_Int_Tables_number 44
_cell_length_a 3.9363
_cell_length_b 15.7259
_cell_length_c 9.6111
_cell_angle_alpha 90.00
_cell_angle_beta 90.00
_cell_angle_gamma 90.00
loop_
_symmetry_equiv_pos_as_xyz
'x,y,z'
'-x,-y,z'
'-x,y,z'
'x,-y,z'
'x+1/2,y+1/2,z+1/2'
'-x+1/2,-y+1/2,z+1/2'
'-x+1/2,y+1/2,z+1/2'
'x+1/2,-y+1/2,z+1/2'
loop_
_atom_site_label
_atom_site_type_symbol
_atom_site_fract_x
_atom_site_fract_y
_atom_site_fract_z
_atom_site_occupancy
Dy1 Dy 0.0000 0.1443 0.0000 1
Ho1 Ho 0.0000 0.1817 0.6399 1
Ho2 Ho 0.0000 0.3710 0.8472 1
Ho3 Ho 0.0000 0.5000 0.2638 1
Te1 Te 0.0000 0.0000 0.4991 1
Te2 Te 0.0000 0.5000 0.6007 1
Pd1 Pd 0.0000 0.2615 0.3342 1
```


Entry 10:
Theoretical powder diffractogram
Compound: DyHo6Te2Pd2
Radiation: Cu Kα X-rays
Structure: a crystal structure in OQMD, relaxed with GGA-PBE
No peak broadening, texture or thermal motion is included.

Top 12 peaks for 10 to 90 degrees two-theta, in order of rising 2θ:
28.4 deg, I 32, hkl 1 3 0; 29.9 deg, I 68, hkl 1 1 2; 32.8 deg, I 60, hkl 0 3 3; 33.6 deg, I 100, hkl 1 4 1; 34.1 deg, I 48, hkl 1 3 2; 34.3 deg, I 14, hkl 0 6 0; 36.2 deg, I 21, hkl 1 0 3; 38.0 deg, I 22, hkl 1 2 3; 39.2 deg, I 16, hkl 0 6 2; 46.1 deg, I 28, hkl 2 0 0; 50.6 deg, I 19, hkl 0 3 5; 57.7 deg, I 31, hkl 2 3 3

```
data_DyHo6Te2Pd2
_symmetry_space_group_name_H-M 'I m m 2'
_symmetry_Int_Tables_number 44
_cell_length_a 3.9369
_cell_length_b 15.6974
_cell_length_c 9.6072
_cell_angle_alpha 90.00
_cell_angle_beta 90.00
_cell_angle_gamma 90.00
loop_
_symmetry_equiv_pos_as_xyz
'x,y,z'
'-x,-y,z'
'-x,y,z'
'x,-y,z'
'x+1/2,y+1/2,z+1/2'
'-x+1/2,-y+1/2,z+1/2'
'-x+1/2,y+1/2,z+1/2'
'x+1/2,-y+1/2,z+1/2'
loop_
_atom_site_label
_atom_site_type_symbol
_atom_site_fract_x
_atom_site_fract_y
_atom_site_fract_z
_atom_site_occupancy
Dy1 Dy 0.0000 0.0000 0.0000 1
Ho1 Ho 0.0000 0.1292 0.4169 1
Ho2 Ho 0.0000 0.3178 0.6243 1
Ho3 Ho 0.0000 0.3554 0.2641 1
Te1 Te 0.0000 0.0000 0.6632 1
Te2 Te 0.0000 0.5000 0.7654 1
Pd1 Pd 0.0000 0.2379 0.9292 1
```


Entry 11:
Theoretical powder diffractogram
Compound: Dy2HoTmPd4
Radiation: Cu Kα X-rays
Structure: a crystal structure in OQMD, relaxed with GGA-PBE
No peak broadening, texture or thermal motion is included.

Top 10 peaks for 10 to 90 degrees two-theta, in order of rising 2θ:
25.6 deg, I 5, hkl 1 1 0; 36.5 deg, I 100, hkl 2 0 0; 45.1 deg, I 2, hkl 2 0 2; 52.6 deg, I 18, hkl 2 2 0; 59.4 deg, I 2, hkl 3 1 0; 65.7 deg, I 36, hkl 3 1 2; 77.6 deg, I 11, hkl 4 0 0; 83.3 deg, I 1, hkl 4 0 2; 88.9 deg, I 11, hkl 4 2 0; 89.0 deg, I 5, hkl 1 1 6

```
data_Dy2HoTmPd4
_symmetry_space_group_name_H-M 'P 4/m m m'
_symmetry_Int_Tables_number 123
_symmetry_space_group_name_Hall '-P 4 2'
_cell_length_a 4.9231
_cell_length_b 4.9231
_cell_length_c 6.9525
_cell_angle_alpha 90.00
_cell_angle_beta 90.00
_cell_angle_gamma 90.00
loop_
_atom_site_label
_atom_site_type_symbol
_atom_site_fract_x
_atom_site_fract_y
_atom_site_fract_z
_atom_site_occupancy
Dy1 Dy 0.0000 0.0000 0.0000 1
Dy2 Dy 0.5000 0.5000 0.5000 1
Ho1 Ho 0.0000 0.0000 0.5000 1
Tm1 Tm 0.5000 0.5000 0.0000 1
Pd1 Pd 0.0000 0.5000 0.2494 1
```


Entry 12:
Theoretical powder diffractogram
Compound: DyHoSn2Pt4
Radiation: Cu Kα X-rays
Structure: a crystal structure in OQMD, relaxed with GGA-PBE
No peak broadening, texture or thermal motion is included.

Top 12 peaks for 10 to 90 degrees two-theta, in order of rising 2θ:
22.5 deg, I 19, hkl 1 0 0; 30.0 deg, I 12, hkl 1 0 2; 37.5 deg, I 100, hkl 1 0 3; 39.6 deg, I 87, hkl 1 1 0; 46.1 deg, I 7, hkl 1 0 4; 55.6 deg, I 32, hkl 2 0 3; 66.2 deg, I 13, hkl 1 0 6; 70.4 deg, I 32, hkl 2 1 3; 71.8 deg, I 16, hkl 3 0 0; 75.4 deg, I 10, hkl 1 1 6; 79.9 deg, I 8, hkl 2 0 6; 85.2 deg, I 10, hkl 2 2 0

```
data_DyHoSn2Pt4
_symmetry_space_group_name_H-M 'P -6 m 2'
_symmetry_Int_Tables_number 187
_symmetry_space_group_name_Hall 'P -6 2'
_cell_length_a 4.5560
_cell_length_b 4.5560
_cell_length_c 9.0763
_cell_angle_alpha 90.00
_cell_angle_beta 90.00
_cell_angle_gamma 120.00
loop_
_atom_site_label
_atom_site_type_symbol
_atom_site_fract_x
_atom_site_fract_y
_atom_site_fract_z
_atom_site_occupancy
Dy1 Dy 0.0000 0.0000 0.0000 1
Ho1 Ho 0.3333 0.6667 0.5000 1
Sn1 Sn 0.6667 0.3333 0.2504 1
Pt1 Pt 0.0000 0.0000 0.3410 1
Pt2 Pt 0.3333 0.6667 0.1602 1
```


Entry 13:
Theoretical powder diffractogram
Compound: DyHo3Sb4
Radiation: Cu Kα X-rays
Structure: a crystal structure in OQMD, relaxed with GGA-PBE
No peak broadening, texture or thermal motion is included.

Top 11 peaks for 10 to 90 degrees two-theta, in order of rising 2θ:
25.0 deg, I 4, hkl 1 1 1; 28.9 deg, I 100, hkl 2 0 0; 41.3 deg, I 76, hkl 2 2 0; 48.9 deg, I 2, hkl 3 1 1; 51.2 deg, I 27, hkl 2 2 2; 59.9 deg, I 13, hkl 4 0 0; 65.9 deg, I 1, hkl 3 3 1; 67.9 deg, I 35, hkl 4 2 0; 75.4 deg, I 26, hkl 4 2 2; 80.9 deg, I 1, hkl 5 1 1; 89.8 deg, I 9, hkl 4 4 0

```
data_DyHo3Sb4
_symmetry_space_group_name_H-M 'P m -3 m'
_symmetry_Int_Tables_number 221
_symmetry_space_group_name_Hall '-P 4 2 3'
_cell_length_a 6.1768
_cell_length_b 6.1768
_cell_length_c 6.1768
_cell_angle_alpha 90.00
_cell_angle_beta 90.00
_cell_angle_gamma 90.00
loop_
_atom_site_label
_atom_site_type_symbol
_atom_site_fract_x
_atom_site_fract_y
_atom_site_fract_z
_atom_site_occupancy
Dy1 Dy 0.0000 0.0000 0.0000 1
Ho1 Ho 0.0000 0.5000 0.5000 1
Sb1 Sb 0.0000 0.0000 0.5000 1
Sb2 Sb 0.5000 0.5000 0.5000 1
```


Entry 14:
Theoretical powder diffractogram
Compound: Dy6HoSe8
Radiation: Cu Kα X-rays
Structure: a crystal structure in OQMD, relaxed with GGA-PBE
No peak broadening, texture or thermal motion is included.

Top 12 peaks for 10 to 90 degrees two-theta, in order of rising 2θ:
13.4 deg, I 8, hkl 1 1 1; 15.5 deg, I 4, hkl 2 0 0; 21.9 deg, I 4, hkl 2 2 0; 25.8 deg, I 6, hkl 3 1 1; 27.0 deg, I 14, hkl 2 2 2; 31.2 deg, I 100, hkl 4 0 0; 44.8 deg, I 74, hkl 4 4 0; 53.0 deg, I 7, hkl 6 2 2; 55.6 deg, I 26, hkl 4 4 4; 65.2 deg, I 12, hkl 8 0 0; 74.0 deg, I 33, hkl 8 4 0; 82.5 deg, I 25, hkl 8 4 4

```
data_Dy6HoSe8
_symmetry_space_group_name_H-M 'F m -3 m'
_symmetry_Int_Tables_number 225
_symmetry_space_group_name_Hall '-F 4 2 3'
_cell_length_a 11.4546
_cell_length_b 11.4546
_cell_length_c 11.4546
_cell_angle_alpha 90.00
_cell_angle_beta 90.00
_cell_angle_gamma 90.00
loop_
_atom_site_label
_atom_site_type_symbol
_atom_site_fract_x
_atom_site_fract_y
_atom_site_fract_z
_atom_site_occupancy
Dy1 Dy 0.0000 0.2500 0.2500 1
Ho1 Ho 0.0000 0.0000 0.0000 1
Se1 Se 0.0000 0.0000 0.2526 1
Se2 Se 0.2500 0.2500 0.2500 1
```